[1]
# Fe4CuPd7
Theoretical X-ray powder pattern, copper Kα. Input: a cell relaxed with PBE.
Lines closer than 0.1° are merged.

Cell and atoms:
Lattice parameters (Å, degrees): 12.1501 4.6178 7.3554 90.00 118.39 90.00
Space group C2/m (No. 12)
Symmetry-distinct sites (fractional):
Fe  0.0472  0.0000  0.1895 [4 per cell]
Fe  0.1791  0.0000  0.8580 [4 per cell]
Cu  0.0000  0.5000  0.5000 [2 per cell]
Pd  0.0000  0.0000  0.5000 [2 per cell]
Pd  0.0782  0.5000  0.9224 [4 per cell]
Pd  0.1856  0.5000  0.3584 [4 per cell]
Pd  0.2328  0.5000  0.7553 [4 per cell]

Main lines, by angle (2θ = 5–70°):
- 2θ = 38.8°, I 55.0, hkl 2 0 2
- 2θ = 39.0°, I 100.0, hkl 0 2 0
- 2θ = 39.3°, I 47.2, hkl 4 0 -3
- 2θ = 42.1°, I 50.4, hkl 3 1 -3
- 2θ = 42.5°, I 83.8, hkl 5 1 -1
- 2θ = 43.3°, I 38.9, hkl 1 1 -3


[2]
# FeCu5Pd5
Theoretical X-ray powder pattern, copper Kα. Input: a cell relaxed with PBE.
Lines closer than 0.1° are merged.

Cell and atoms:
Lattice parameters (Å, degrees): 4.7739 4.9772 6.6049 94.80 94.42 93.32
Space group P-1 (No. 2)
Symmetry-distinct sites (fractional):
Fe  0.0000  0.0000  0.0000 [1 per cell]
Cu  0.2434  0.7132  0.7196 [2 per cell]
Cu  0.2870  0.4003  0.3579 [2 per cell]
Cu  0.5000  0.0000  0.5000 [1 per cell]
Pd  0.0000  0.5000  0.0000 [1 per cell]
Pd  0.0044  0.1874  0.6484 [2 per cell]
Pd  0.4952  0.2268  0.8881 [2 per cell]

Main lines, by angle (2θ = 5–70°):
- 2θ = 37.4°, I 31.8, hkl -1 1 2
- 2θ = 40.9°, I 69.9, hkl 1 1 2
- 2θ = 42.9°, I 100.0, hkl -1 2 1
- 2θ = 43.8°, I 56.9, hkl 0 2 -2
- 2θ = 44.0°, I 92.2, hkl 2 -1 1
- 2θ = 44.1°, I 44.7, hkl 1 0 -3


[3]
# FeCu4Pd7
Theoretical X-ray powder pattern, copper Kα. Input: a cell relaxed with PBE.
Lines closer than 0.1° are merged.

Cell and atoms:
Lattice parameters (Å, degrees): 7.4650 4.3053 10.6026 90.00 90.09 90.00
Space group C2/m (No. 12)
Symmetry-distinct sites (fractional):
Fe  0.0000  0.0000  0.0000 [2 per cell]
Cu  0.1667  0.5000  0.1705 [4 per cell]
Cu  0.1666  0.5000  0.4085 [4 per cell]
Pd  0.0000  0.0000  0.2376 [4 per cell]
Pd  0.0000  0.0000  0.5000 [2 per cell]
Pd  0.1667  0.5000  0.6533 [4 per cell]
Pd  0.1666  0.5000  0.9204 [4 per cell]

Main lines, by angle (2θ = 5–70°):
- 2θ = 25.3°, I 3.2, hkl 1 1 1
- 2θ = 35.0°, I 10.8, hkl 1 1 3
- 2θ = 41.8°, I 96.7, hkl 2 0 4
- 2θ = 41.9°, I 100.0, hkl 3 1 0
- 2θ = 60.6°, I 10.4, hkl 4 0 -4
- 2θ = 60.7°, I 20.4, hkl 2 2 4


[4]
# FeCuPd
Theoretical X-ray powder pattern, copper Kα. Input: a cell relaxed with PBE.
Lines closer than 0.1° are merged.

Cell and atoms:
Lattice parameters (Å, degrees): 4.3446 4.5676 4.6181 60.61 89.82 89.82
Space group P-1 (No. 2)
Symmetry-distinct sites (fractional):
Fe  0.2500  0.0095  0.3265 [2 per cell]
Cu  0.2502  0.3464  0.6518 [2 per cell]
Pd  0.2499  0.6849  0.9944 [2 per cell]

Main lines, by angle (2θ = 5–70°):
- 2θ = 39.5°, I 21.0, hkl 0 2 1
- 2θ = 41.6°, I 49.2, hkl 2 0 0
- 2θ = 44.3°, I 100.0, hkl 1 1 -1
- 2θ = 44.5°, I 29.4, hkl -1 1 2
- 2θ = 44.8°, I 24.8, hkl 1 2 1
- 2θ = 44.9°, I 24.6, hkl -1 2 1


[5]
# FeCu2Pd4
Theoretical X-ray powder pattern, copper Kα. Input: a cell relaxed with PBE.
Lines closer than 0.1° are merged.

Cell and atoms:
Lattice parameters (Å, degrees): 6.3676 5.1333 7.0618 90.00 116.29 90.00
Space group P2_1/m (No. 11)
Symmetry-distinct sites (fractional):
Fe  0.0683  0.2500  0.3358 [2 per cell]
Cu  0.0124  0.2500  0.9572 [2 per cell]
Cu  0.2207  0.7500  0.5044 [2 per cell]
Pd  0.2206  0.2500  0.7214 [2 per cell]
Pd  0.3558  0.7500  0.9140 [2 per cell]
Pd  0.3804  0.0005  0.2731 [4 per cell]

Main lines, by angle (2θ = 5–70°):
- 2θ = 38.4°, I 59.3, hkl 1 2 0
- 2θ = 38.5°, I 100.0, hkl 1 2 -1
- 2θ = 40.4°, I 73.1, hkl 2 0 -3
- 2θ = 42.1°, I 84.5, hkl 1 1 2
- 2θ = 43.2°, I 64.4, hkl 3 0 -1
- 2θ = 45.4°, I 76.9, hkl 2 2 -1


[6]
# FeCuPd2Pt
Theoretical X-ray powder pattern, copper Kα. Input: a cell relaxed with PBE.
Lines closer than 0.1° are merged.

Cell and atoms:
Lattice parameters (Å, degrees): 5.5500 4.3436 6.7732 90.00 101.07 90.00
Space group P2_1/m (No. 11)
Symmetry-distinct sites (fractional):
Fe  0.0346  0.2500  0.2054 [2 per cell]
Cu  0.4317  0.7500  0.7845 [2 per cell]
Pd  0.1126  0.7500  0.4292 [2 per cell]
Pd  0.3867  0.2500  0.5538 [2 per cell]
Pt  0.2306  0.2500  0.9126 [2 per cell]

Main lines, by angle (2θ = 5–70°):
- 2θ = 26.2°, I 57.2, hkl 1 1 0
- 2θ = 28.0°, I 53.2, hkl 1 1 -1
- 2θ = 41.6°, I 80.2, hkl 0 2 0
- 2θ = 43.6°, I 92.2, hkl 2 1 1
- 2θ = 44.0°, I 89.4, hkl 2 1 -2
- 2θ = 46.0°, I 100.0, hkl 0 1 3


[7]
# FeCu2Pd5Pt
Theoretical X-ray powder pattern, copper Kα. Input: a cell relaxed with PBE.
Lines closer than 0.1° are merged.

Cell and atoms:
Lattice parameters (Å, degrees): 6.0385 6.0385 15.3072 90.00 90.00 90.00
Space group I4/mcm (No. 140)
Symmetry-distinct sites (fractional):
Fe  0.0000  0.0000  0.2500 [4 per cell]
Cu  0.1258  0.3742  0.0000 [8 per cell]
Pd  0.0000  0.0000  0.0000 [4 per cell]
Pd  0.2362  0.2638  0.3599 [16 per cell]
Pt  0.0000  0.5000  0.2500 [4 per cell]

Main lines, by angle (2θ = 5–70°):
- 2θ = 23.9°, I 17.1, hkl 1 1 2
- 2θ = 38.0°, I 100.0, hkl 2 0 4
- 2θ = 42.3°, I 39.2, hkl 2 2 0
- 2θ = 47.5°, I 15.1, hkl 0 0 8
- 2θ = 49.2°, I 16.1, hkl 3 1 2
- 2θ = 65.5°, I 15.5, hkl 2 2 8


[8]
# FeCuPt2
Theoretical X-ray powder pattern, copper Kα. Input: a cell relaxed with PBE.
Lines closer than 0.1° are merged.

Cell and atoms:
Lattice parameters (Å, degrees): 5.5763 7.2869 2.7678 90.00 90.00 90.00
Space group Cmmm (No. 65)
Symmetry-distinct sites (fractional):
Fe  0.0000  0.0000  0.0000 [2 per cell]
Cu  0.0000  0.5000  0.0000 [2 per cell]
Pt  0.2500  0.2500  0.5000 [4 per cell]

Main lines, by angle (2θ = 5–70°):
- 2θ = 24.4°, I 45.9, hkl 0 2 0
- 2θ = 40.8°, I 100.0, hkl 2 2 0
- 2θ = 40.9°, I 98.6, hkl 0 2 1
- 2θ = 46.2°, I 69.7, hkl 2 0 1
- 2θ = 50.1°, I 27.5, hkl 0 4 0
- 2θ = 53.0°, I 24.6, hkl 2 2 1